1.
FeAs2O4: computed X-ray powder pattern (Cu Ka), based on a cell relaxed with PBE+U.
Kinematic intensities with the Lorentz-polarization factor, no thermal factor.

Atomic structure:
Lattice parameters (Å, degrees): 8.629 8.629 5.762 90.00 90.00 90.00
Element x y z (fractional)
Fe 0.000 0.500 0.250
Fe 0.000 0.500 0.750
Fe 0.500 0.000 0.250
Fe 0.500 0.000 0.750
As 0.175 0.190 0.000
As 0.190 0.825 0.500
As 0.310 0.325 0.500
As 0.325 0.690 0.000
As 0.675 0.310 0.000
As 0.690 0.675 0.500
As 0.810 0.175 0.500
As 0.825 0.810 0.000
O 0.110 0.358 0.500
O 0.142 0.390 0.000
O 0.183 0.683 0.250
O 0.183 0.683 0.750
O 0.317 0.183 0.250
O 0.317 0.183 0.750
O 0.358 0.890 0.000
O 0.390 0.858 0.500
O 0.610 0.142 0.500
O 0.642 0.110 0.000
O 0.683 0.817 0.250
O 0.683 0.817 0.750
O 0.817 0.317 0.250
O 0.817 0.317 0.750
O 0.858 0.610 0.000
O 0.890 0.642 0.500

Main lines, by angle (10 to 80 degrees two-theta):
14.5 deg, rel. 38.8, (1 1 0)
20.6 deg, rel. 22.3, (2 0 0)
27.8 deg, rel. 100.0, (2 1 1)
29.3 deg, rel. 40.7, (2 2 0)
32.8 deg, rel. 24.3, (3 1 0)
34.4 deg, rel. 14.9, (1 1 2)
37.5 deg, rel. 41.4, (2 0 2)
46.1 deg, rel. 49.5, (4 1 1)
53.3 deg, rel. 16.1, (2 1 3)
55.3 deg, rel. 29.4, (3 3 2)
63.8 deg, rel. 14.5, (5 1 2)
66.0 deg, rel. 16.4, (4 1 3)

---

2.
YCrW2O8: computed X-ray powder pattern (Cu Ka), based on a cell relaxed with PBE+U.
Kinematic intensities with the Lorentz-polarization factor, no thermal factor.

Atomic structure:
Lattice parameters (Å, degrees): 5.306 5.731 10.903 90.00 116.54 90.00
Element x y z (fractional)
Y 0.000 0.162 0.250
Y 0.000 0.838 0.750
Cr 0.500 0.168 0.750
Cr 0.500 0.832 0.250
W 0.246 0.339 0.997
W 0.246 0.661 0.497
W 0.754 0.339 0.503
W 0.754 0.661 0.003
O 0.179 0.395 0.614
O 0.179 0.605 0.114
O 0.254 0.110 0.126
O 0.254 0.890 0.626
O 0.281 0.144 0.858
O 0.281 0.856 0.358
O 0.325 0.384 0.404
O 0.325 0.616 0.904
O 0.675 0.384 0.096
O 0.675 0.616 0.596
O 0.719 0.144 0.642
O 0.719 0.856 0.142
O 0.746 0.110 0.374
O 0.746 0.890 0.874
O 0.821 0.395 0.886
O 0.821 0.605 0.386

Main lines, by angle (10 to 80 degrees two-theta):
18.2 deg, rel. 41.2, (0 0 2)
22.9 deg, rel. 35.2, (1 1 -1)
24.0 deg, rel. 72.5, (0 1 2)
28.9 deg, rel. 100.0, (1 1 1)
29.8 deg, rel. 91.6, (1 1 -3)
33.8 deg, rel. 36.7, (2 0 -2)
35.6 deg, rel. 47.7, (1 2 -1)
36.9 deg, rel. 21.8, (0 0 4)
51.4 deg, rel. 30.0, (0 3 2)
51.6 deg, rel. 26.9, (1 2 3)
52.8 deg, rel. 27.6, (1 2 -5)
61.7 deg, rel. 22.8, (3 2 -3)